Starting from a cell relaxed with PBE, the PXRD pattern of Tb3CdSb was computed for a wavelength of 1.5418 Å.

Largest 10 diffraction maxima, sorted by position, 5 to 70 degrees two-theta:
| 2theta | I (rel.) |
| --- | --- |
| 28.52 | 85 |
| 29.04 | 96 |
| 30.85 | 30 |
| 32.48 | 100 |
| 35.05 | 72 |
| 35.90 | 47 |
| 38.87 | 26 |
| 48.53 | 65 |
| 58.99 | 28 |
| 61.99 | 27 |

Cell and atoms:
Cell lengths 8.646, 8.646, 5.121 Å; angles 90.00, 90.00, 125.58 degrees
Element x y z (fractional)
Tb  0.000  0.500  0.500
Tb  0.163  0.837  0.000
Tb  0.322  0.322  0.500
Tb  0.500  0.000  0.500
Tb  0.678  0.678  0.500
Tb  0.837  0.163  0.000
Cd  0.089  0.911  0.500
Cd  0.911  0.089  0.500
Sb  0.366  0.634  0.000
Sb  0.634  0.366  0.000

Starting from a cell relaxed with PBE, the PXRD pattern of TiGeSe4 was computed for a wavelength of 1.5418 Å.

Largest 10 diffraction maxima, sorted by position, 5 to 70 degrees two-theta:
| 2theta | I (rel.) |
| --- | --- |
| 17.55 | 20 |
| 27.86 | 100 |
| 30.77 | 12 |
| 35.10 | 4 |
| 35.65 | 4 |
| 44.08 | 23 |
| 47.37 | 37 |
| 52.95 | 31 |
| 58.64 | 11 |
| 64.10 | 7 |

Cell and atoms:
Cell lengths 5.811, 5.811, 10.225 Å; angles 90.00, 90.00, 90.00 degrees
Element x y z (fractional)
Ti  0.000  0.000  0.000
Ti  0.000  0.000  0.500
Ge  0.000  0.500  0.250
Ge  0.500  0.000  0.750
Se  0.249  0.265  0.383
Se  0.249  0.735  0.117
Se  0.265  0.249  0.883
Se  0.265  0.751  0.617
Se  0.735  0.249  0.617
Se  0.735  0.751  0.883
Se  0.751  0.265  0.117
Se  0.751  0.735  0.383

Starting from a cell relaxed with PBE, the PXRD pattern of HoTmB12 was computed for a wavelength of 1.5418 Å.

Largest 8 diffraction maxima, sorted by position, 5 to 70 degrees two-theta:
| 2theta | I (rel.) |
| --- | --- |
| 21.75 | 71 |
| 30.95 | 100 |
| 38.15 | 42 |
| 44.34 | 21 |
| 49.91 | 50 |
| 55.06 | 29 |
| 64.51 | 10 |
| 68.95 | 28 |

Cell and atoms:
Cell lengths 4.085, 4.085, 8.176 Å; angles 90.00, 90.00, 90.00 degrees
Element x y z (fractional)
Ho  0.000  0.000  0.000
Tm  0.000  0.000  0.500
B  0.199  0.500  0.250
B  0.199  0.500  0.750
B  0.500  0.199  0.250
B  0.500  0.199  0.750
B  0.500  0.500  0.099
B  0.500  0.500  0.401
B  0.500  0.500  0.599
B  0.500  0.500  0.901
B  0.500  0.801  0.250
B  0.500  0.801  0.750
B  0.801  0.500  0.250
B  0.801  0.500  0.750

Starting from a cell relaxed with PBE, the PXRD pattern of Ac2HoNi3Ge4 was computed for a wavelength of 1.5418 Å.

Largest 10 diffraction maxima, sorted by position, 5 to 70 degrees two-theta:
| 2theta | I (rel.) |
| --- | --- |
| 22.06 | 22 |
| 29.19 | 12 |
| 31.92 | 44 |
| 33.48 | 100 |
| 38.69 | 18 |
| 41.75 | 46 |
| 46.15 | 15 |
| 53.50 | 21 |
| 58.53 | 11 |
| 60.52 | 15 |

Cell and atoms:
Cell lengths 4.327, 4.327, 11.041 Å; angles 90.00, 90.00, 90.00 degrees
Element x y z (fractional)
Ac  0.000  0.500  0.227
Ac  0.500  0.000  0.773
Ho  0.000  0.000  0.500
Ni  0.000  0.500  0.891
Ni  0.500  0.000  0.109
Ni  0.500  0.500  0.500
Ge  0.000  0.000  0.000
Ge  0.000  0.500  0.665
Ge  0.500  0.000  0.335
Ge  0.500  0.500  0.000

Starting from a cell relaxed with PBE, the PXRD pattern of SrMg2InHg4 was computed for a wavelength of 1.5418 Å.

Largest 10 diffraction maxima, sorted by position, 5 to 70 degrees two-theta:
| 2theta | I (rel.) |
| --- | --- |
| 21.90 | 21 |
| 24.13 | 61 |
| 31.61 | 100 |
| 36.30 | 32 |
| 36.99 | 92 |
| 38.80 | 14 |
| 49.43 | 29 |
| 63.31 | 28 |
| 66.65 | 17 |
| 67.21 | 15 |

Cell and atoms:
Cell lengths 10.578, 10.578, 10.578 Å; angles 26.57, 26.57, 26.57 degrees
Element x y z (fractional)
Sr  0.000  0.000  0.000
Mg  0.238  0.238  0.238
Mg  0.762  0.762  0.762
In  0.500  0.500  0.500
Hg  0.122  0.122  0.122
Hg  0.393  0.393  0.393
Hg  0.607  0.607  0.607
Hg  0.878  0.878  0.878

Starting from a cell relaxed with PBE, the PXRD pattern of Li2Ac2ZnPd5 was computed for a wavelength of 1.5418 Å.

Largest 10 diffraction maxima, sorted by position, 5 to 70 degrees two-theta:
| 2theta | I (rel.) |
| --- | --- |
| 20.31 | 33 |
| 29.32 | 33 |
| 30.74 | 100 |
| 34.70 | 42 |
| 37.12 | 92 |
| 37.94 | 85 |
| 39.09 | 29 |
| 40.53 | 29 |
| 46.64 | 29 |
| 61.64 | 50 |

Cell and atoms:
Cell lengths 9.778, 9.778, 3.895 Å; angles 90.00, 90.00, 90.00 degrees
Element x y z (fractional)
Li  0.116  0.384  0.000
Li  0.384  0.884  0.000
Li  0.616  0.116  0.000
Li  0.884  0.616  0.000
Ac  0.183  0.683  0.000
Ac  0.317  0.183  0.000
Ac  0.683  0.817  0.000
Ac  0.817  0.317  0.000
Zn  0.000  0.000  0.000
Zn  0.500  0.500  0.000
Pd  0.000  0.500  0.500
Pd  0.060  0.204  0.500
Pd  0.204  0.940  0.500
Pd  0.296  0.440  0.500
Pd  0.440  0.704  0.500
Pd  0.500  0.000  0.500
Pd  0.560  0.296  0.500
Pd  0.704  0.560  0.500
Pd  0.796  0.060  0.500
Pd  0.940  0.796  0.500

Starting from a cell relaxed with PBE, the PXRD pattern of MnMoAs2 was computed for a wavelength of 1.5418 Å.

Largest 10 diffraction maxima, sorted by position, 5 to 70 degrees two-theta:
| 2theta | I (rel.) |
| --- | --- |
| 29.84 | 19 |
| 31.80 | 38 |
| 33.59 | 81 |
| 40.63 | 16 |
| 41.71 | 100 |
| 43.11 | 89 |
| 45.16 | 22 |
| 48.55 | 26 |
| 50.52 | 36 |
| 54.18 | 27 |

Cell and atoms:
Cell lengths 3.386, 5.883, 6.408 Å; angles 90.00, 90.00, 90.00 degrees
Element x y z (fractional)
Mn  0.000  0.248  0.000
Mn  0.500  0.752  0.500
Mo  0.000  0.744  0.118
Mo  0.500  0.256  0.618
As  0.000  0.049  0.384
As  0.000  0.560  0.737
As  0.500  0.440  0.237
As  0.500  0.951  0.884